Computed X-ray powder pattern of Nb3H12C4NCl9 for CuKα, from a crystal structure in Alexandria, relaxed with GGA-PBE.

Peak list (10 most intense, 10 to 90 degrees two-theta, low angle first)
- 13.37 deg, intensity 100.0
- 20.71 deg, intensity 46.9
- 31.34 deg, intensity 20.6
- 33.99 deg, intensity 90.9
- 38.82 deg, intensity 54.4
- 42.13 deg, intensity 34.0
- 47.23 deg, intensity 21.0
- 48.51 deg, intensity 17.6
- 49.16 deg, intensity 17.7
- 57.49 deg, intensity 25.4

Cell and atoms:
```
data_Nb3H12C4NCl9
_chemical_formula_sum 'Nb6 H24 C8 N2 Cl18'
_space_group_name_H-M_alt 'P 1'
_space_group_IT_number 1
_cell_length_a 11.2595
_cell_length_b 11.2595
_cell_length_c 9.0235
_cell_angle_alpha 90.00
_cell_angle_beta 90.00
_cell_angle_gamma 120.00
loop_
_space_group_symop_operation_xyz
'x,y,z'
loop_
_atom_site_label
_atom_site_type_symbol
_atom_site_fract_x
_atom_site_fract_y
_atom_site_fract_z
Nb1 Nb 0.0906 0.1811 0.3616
Nb2 Nb 0.0906 0.9094 0.3616
Nb3 Nb 0.1811 0.0906 0.6384
Nb4 Nb 0.8189 0.9094 0.3616
Nb5 Nb 0.9094 0.0906 0.6384
Nb6 Nb 0.9094 0.8189 0.6384
H1 H 0.1360 0.4882 0.8248
H2 H 0.1360 0.6478 0.8248
H3 H 0.1897 0.5948 0.9871
H4 H 0.2802 0.5604 0.6040
H5 H 0.2802 0.7198 0.6040
H6 H 0.3522 0.4882 0.8248
H7 H 0.3522 0.8640 0.8248
H8 H 0.4052 0.5948 0.9871
H9 H 0.4052 0.8103 0.9871
H10 H 0.4396 0.7198 0.6040
H11 H 0.4882 0.1360 0.1752
H12 H 0.4882 0.3522 0.1752
H13 H 0.5118 0.6478 0.8248
H14 H 0.5118 0.8640 0.8248
H15 H 0.5604 0.2802 0.3960
H16 H 0.5948 0.1897 0.0129
H17 H 0.5948 0.4052 0.0129
H18 H 0.6478 0.1360 0.1752
H19 H 0.6478 0.5118 0.1752
H20 H 0.7198 0.2802 0.3960
H21 H 0.7198 0.4396 0.3960
H22 H 0.8103 0.4052 0.0129
H23 H 0.8640 0.3522 0.1752
H24 H 0.8640 0.5118 0.1752
C1 C 0.1879 0.5939 0.8658
C2 C 0.3333 0.6667 0.6435
C3 C 0.4061 0.5939 0.8658
C4 C 0.4061 0.8121 0.8658
C5 C 0.5939 0.1879 0.1342
C6 C 0.5939 0.4061 0.1342
C7 C 0.6667 0.3333 0.3565
C8 C 0.8121 0.4061 0.1342
N1 N 0.3333 0.6667 0.8099
N2 N 0.6667 0.3333 0.1901
Cl1 Cl 0.0000 0.3073 0.5000
Cl2 Cl 0.0000 0.6927 0.5000
Cl3 Cl 0.1017 0.2033 0.8124
Cl4 Cl 0.1017 0.8983 0.8124
Cl5 Cl 0.1956 0.3912 0.2032
Cl6 Cl 0.1956 0.8044 0.2032
Cl7 Cl 0.2033 0.1017 0.1876
Cl8 Cl 0.3073 0.0000 0.5000
Cl9 Cl 0.3073 0.3073 0.5000
Cl10 Cl 0.3912 0.1956 0.7968
Cl11 Cl 0.6088 0.8044 0.2032
Cl12 Cl 0.6927 0.0000 0.5000
Cl13 Cl 0.6927 0.6927 0.5000
Cl14 Cl 0.7967 0.8983 0.8124
Cl15 Cl 0.8044 0.1956 0.7968
Cl16 Cl 0.8044 0.6088 0.7968
Cl17 Cl 0.8983 0.1017 0.1876
Cl18 Cl 0.8983 0.7967 0.1876
```